(1)
Cs2NpGe2S6: computed powder diffractogram (Cu Kα, 1.54184 Å), based on a structure optimized by DFT (GGA-PBE).

Crystal structure
a = 8.0879 Å, b = 8.0879 Å, c = 8.0879 Å
α = 54.62°, β = 54.62°, γ = 54.62°
Fractional coordinates of all 11 atoms:
1 Cs 0.2346 0.2346 0.2346
2 Cs 0.7654 0.7654 0.7654
3 Np 0.0000 0.0000 0.0000
4 Ge 0.4391 0.4391 0.4391
5 Ge 0.5609 0.5609 0.5609
6 S 0.2428 0.2428 0.7498
7 S 0.2428 0.7498 0.2428
8 S 0.2502 0.7572 0.7572
9 S 0.7498 0.2428 0.2428
10 S 0.7572 0.2502 0.7572
11 S 0.7572 0.7572 0.2502

The 8 most intense peaks (2θ from 10° to 90°), by angle:
Position (°2θ)	intensity
22.13	61
23.98	100
25.70	43
32.86	63
41.09	25
42.18	23
46.66	36
49.11	30

---

(2)
CsGeO3: computed powder diffractogram (Cu Kα, 1.54184 Å), based on a structure optimized by DFT (GGA-PBE).

Crystal structure
a = 3.0274 Å, b = 3.8821 Å, c = 6.4107 Å
α = 90.00°, β = 90.00°, γ = 90.00°
Fractional coordinates of all 5 atoms:
1 Cs 0.0000 0.0000 0.0000
2 Ge 0.0000 0.5000 0.5000
3 O 0.0000 0.0000 0.5000
4 O 0.5000 0.5000 0.3037
5 O 0.5000 0.5000 0.6963

The 8 most intense peaks (2θ from 10° to 90°), by angle:
Position (°2θ)	intensity
26.85	100
27.83	44
29.50	35
40.31	53
41.01	48
46.80	17
57.92	26
63.95	24

---

(3)
CsGe2O4: computed powder diffractogram (Cu Kα, 1.54184 Å), based on a structure optimized by DFT (GGA-PBE).

Crystal structure
a = 6.2997 Å, b = 6.2997 Å, c = 6.2997 Å
α = 100.26°, β = 100.26°, γ = 130.08°
Fractional coordinates of all 7 atoms:
1 Cs 0.0000 0.0000 0.0000
2 Ge 0.2500 0.7500 0.5000
3 Ge 0.7500 0.2500 0.5000
4 O 0.1609 0.5011 0.6620
5 O 0.4989 0.1609 0.6599
6 O 0.5011 0.8391 0.3401
7 O 0.8391 0.4989 0.3380

The 8 most intense peaks (2θ from 10° to 90°), by angle:
Position (°2θ)	intensity
19.99	35
22.01	100
29.91	54
31.32	28
37.31	34
49.49	43
50.53	14
59.77	21

---

(4)
Cs6Ge2O7: computed powder diffractogram (Cu Kα, 1.54184 Å), based on a structure optimized by DFT (GGA-PBE).

Crystal structure
a = 7.3317 Å, b = 9.9258 Å, c = 12.3311 Å
α = 90.00°, β = 125.50°, γ = 90.00°
Fractional coordinates of all 30 atoms:
1 Cs 0.0343 0.1445 0.4129
2 Cs 0.0343 0.3555 0.9129
3 Cs 0.2077 0.5270 0.4561
4 Cs 0.2077 0.9730 0.9561
5 Cs 0.3944 0.2170 0.2768
6 Cs 0.3944 0.2830 0.7768
7 Cs 0.6056 0.7170 0.2232
8 Cs 0.6056 0.7830 0.7232
9 Cs 0.7923 0.0270 0.0439
10 Cs 0.7923 0.4730 0.5439
11 Cs 0.9657 0.6445 0.0871
12 Cs 0.9657 0.8555 0.5871
13 Ge 0.3283 0.6344 0.8754
14 Ge 0.3283 0.8656 0.3754
15 Ge 0.6717 0.1344 0.6246
16 Ge 0.6717 0.3656 0.1246
17 O 0.0849 0.6574 0.8726
18 O 0.0849 0.8426 0.3726
19 O 0.2643 0.5800 0.7195
20 O 0.2643 0.9200 0.2195
21 O 0.4966 0.2201 0.0649
22 O 0.4966 0.2799 0.5649
23 O 0.5000 0.0000 0.5000
24 O 0.5000 0.5000 0.0000
25 O 0.5034 0.7201 0.4351
26 O 0.5034 0.7799 0.9351
27 O 0.7357 0.0800 0.7805
28 O 0.7357 0.4200 0.2805
29 O 0.9151 0.1574 0.6274
30 O 0.9151 0.3426 0.1274

The 8 most intense peaks (2θ from 10° to 90°), by angle:
Position (°2θ)	intensity
25.24	68
25.91	97
27.28	70
28.18	99
28.40	94
29.15	78
30.48	61
30.90	100

---

(5)
CsGeOs2O8: computed powder diffractogram (Cu Kα, 1.54184 Å), based on a structure optimized by DFT (GGA-PBE).

Crystal structure
a = 10.1796 Å, b = 10.1796 Å, c = 10.1796 Å
α = 30.84°, β = 30.84°, γ = 30.84°
Fractional coordinates of all 12 atoms:
1 Cs 0.0000 0.0000 0.0000
2 Ge 0.5000 0.5000 0.5000
3 Os 0.2379 0.2379 0.2379
4 Os 0.7621 0.7621 0.7621
5 O 0.1125 0.4952 0.7449
6 O 0.2551 0.5048 0.8875
7 O 0.2990 0.2990 0.2990
8 O 0.4952 0.7449 0.1125
9 O 0.5048 0.8875 0.2551
10 O 0.7010 0.7010 0.7010
11 O 0.7449 0.1125 0.4952
12 O 0.8875 0.2551 0.5048

The 8 most intense peaks (2θ from 10° to 90°), by angle:
Position (°2θ)	intensity
19.90	14
22.57	100
31.15	29
33.10	36
40.43	18
46.08	12
50.57	13
53.21	19

---

(6)
CsZnGePO: computed powder diffractogram (Cu Kα, 1.54184 Å), based on a structure optimized by DFT (GGA-PBE).

Crystal structure
a = 5.0461 Å, b = 5.0461 Å, c = 8.0167 Å
α = 115.36°, β = 115.36°, γ = 42.45°
Fractional coordinates of all 5 atoms:
1 Cs 0.0000 0.0000 0.0000
2 Zn 0.1197 0.1197 0.6068
3 Ge 0.3481 0.3481 0.5354
4 P 0.8477 0.8477 0.3479
5 O 0.5692 0.5692 0.7181

The 8 most intense peaks (2θ from 10° to 90°), by angle:
Position (°2θ)	intensity
24.28	80
25.01	90
26.63	97
29.34	71
31.55	93
33.19	100
39.27	93
51.10	55

---

(7)
CsPaGe2O8: computed powder diffractogram (Cu Kα, 1.54184 Å), based on a structure optimized by DFT (GGA-PBE).

Crystal structure
a = 9.0523 Å, b = 9.0523 Å, c = 9.0523 Å
α = 38.22°, β = 38.22°, γ = 38.22°
Fractional coordinates of all 12 atoms:
1 Cs 0.0000 0.0000 0.0000
2 Pa 0.5000 0.5000 0.5000
3 Ge 0.2390 0.2390 0.2390
4 Ge 0.7610 0.7610 0.7610
5 O 0.1084 0.6207 0.6207
6 O 0.3096 0.3096 0.3096
7 O 0.3793 0.3793 0.8916
8 O 0.3793 0.8916 0.3793
9 O 0.6207 0.1084 0.6207
10 O 0.6207 0.6207 0.1084
11 O 0.6904 0.6904 0.6904
12 O 0.8916 0.3793 0.3793

The 8 most intense peaks (2θ from 10° to 90°), by angle:
Position (°2θ)	intensity
18.67	15
22.36	100
30.16	42
33.43	22
37.87	15
45.64	15
49.15	24
53.57	23

---

(8)
CsRbGeO3: computed powder diffractogram (Cu Kα, 1.54184 Å), based on a structure optimized by DFT (GGA-PBE).

Crystal structure
a = 7.2661 Å, b = 7.2661 Å, c = 5.6082 Å
α = 94.79°, β = 94.79°, γ = 125.57°
Fractional coordinates of all 12 atoms:
1 Cs 0.2396 0.7604 0.7500
2 Cs 0.7604 0.2396 0.2500
3 Rb 0.4082 0.5918 0.2500
4 Rb 0.5918 0.4082 0.7500
5 Ge 0.0435 0.9565 0.2500
6 Ge 0.9565 0.0435 0.7500
7 O 0.1534 0.2068 0.4808
8 O 0.1799 0.8201 0.2500
9 O 0.2068 0.1534 0.9808
10 O 0.7932 0.8466 0.0192
11 O 0.8201 0.1799 0.7500
12 O 0.8466 0.7932 0.5192

The 8 most intense peaks (2θ from 10° to 90°), by angle:
Position (°2θ)	intensity
27.30	73
28.23	100
31.02	98
32.48	43
37.42	20
38.70	39
46.97	29
53.67	20